Structure and simulated powder diffractogram of LaPm4Ho2 (a PBE-relaxed structure; λ = 1.5418 Å (Cu Kα)).
Kinematic intensities with the Lorentz-polarization factor, no thermal factor.

Principal peaks in the range 10 to 90 degrees two-theta, most intense first:
two_theta, I_rel
30.73, 100
30.87, 49
31.98, 46
32.47, 45
29.55, 38
60.77, 22
47.17, 19
50.97, 15
56.89, 10
53.99, 10

Lattice parameters (Å, degrees): 7.1688 8.7425 9.0042 114.43 101.33 101.86
Positions (direct):
1 La 0.0000 0.0000 0.0000
2 La 0.4053 0.4360 0.1602
3 Pm 0.0779 0.7252 0.5851
4 Pm 0.1059 0.5542 0.8634
5 Pm 0.1930 0.3229 0.4501
6 Pm 0.3040 0.8830 0.3214
7 Pm 0.5010 0.9947 0.9945
8 Pm 0.6052 0.5513 0.8587
9 Pm 0.7211 0.1496 0.7266
10 Pm 0.8023 0.8798 0.3193
11 Ho 0.2209 0.1496 0.7251
12 Ho 0.5808 0.7270 0.5864
13 Ho 0.6962 0.3203 0.4492
14 Ho 0.9020 0.4405 0.1579

Structure and simulated powder diffractogram of Tb2Nd2N3 (a PBE-relaxed structure; λ = 1.5418 Å (Cu Kα)).
Kinematic intensities with the Lorentz-polarization factor, no thermal factor.

Principal peaks in the range 10 to 90 degrees two-theta, most intense first:
two_theta, I_rel
30.50, 100
35.55, 58
30.27, 33
34.79, 30
50.74, 21
50.45, 20
60.73, 19
63.49, 15
51.33, 10
60.88, 10

Lattice parameters (Å, degrees): 6.2044 6.2044 6.3018 98.98 98.98 33.34
Positions (direct):
1 Tb 0.1272 0.1272 0.3933
2 Tb 0.8728 0.8728 0.6067
3 Nd 0.3677 0.3677 0.1360
4 Nd 0.6323 0.6323 0.8640
5 N 0.2475 0.2475 0.7364
6 N 0.5000 0.5000 0.5000
7 N 0.7525 0.7525 0.2636

Structure and simulated powder diffractogram of RbGa6Ge2 (a PBE-relaxed structure; λ = 1.5418 Å (Cu Kα)).
Kinematic intensities with the Lorentz-polarization factor, no thermal factor.

Principal peaks in the range 10 to 90 degrees two-theta, most intense first:
two_theta, I_rel
38.09, 100
33.87, 68
43.14, 68
31.28, 40
26.12, 36
65.26, 31
75.74, 25
46.47, 22
62.65, 22
49.56, 19

Lattice parameters (Å, degrees): 4.1939 4.1939 11.7251 90.00 90.00 90.00
Positions (direct):
1 Rb 0.0000 0.0000 0.0000
2 Ga 0.0000 0.0000 0.5000
3 Ga 0.0000 0.5000 0.3159
4 Ga 0.0000 0.5000 0.6841
5 Ga 0.5000 0.0000 0.3159
6 Ga 0.5000 0.0000 0.6841
7 Ga 0.5000 0.5000 0.5000
8 Ge 0.5000 0.5000 0.1765
9 Ge 0.5000 0.5000 0.8235

Structure and simulated powder diffractogram of TbPaCrC3 (a PBE-relaxed structure; λ = 1.5418 Å (Cu Kα)).
Kinematic intensities with the Lorentz-polarization factor, no thermal factor.

Principal peaks in the range 10 to 90 degrees two-theta, most intense first:
two_theta, I_rel
34.94, 100
31.61, 93
33.26, 45
33.47, 45
24.40, 38
28.14, 34
56.22, 28
26.58, 23
47.76, 22
45.34, 22

Lattice parameters (Å, degrees): 6.8569 6.8569 6.9539 105.03 105.03 32.25
Positions (direct):
1 Tb 0.1460 0.1460 0.0776
2 Tb 0.8540 0.8540 0.9224
3 Pa 0.1467 0.1467 0.5705
4 Pa 0.8533 0.8533 0.4295
5 Cr 0.4950 0.4950 0.2388
6 Cr 0.5050 0.5050 0.7612
7 C 0.0023 0.0023 0.2564
8 C 0.3358 0.3358 0.6451
9 C 0.3450 0.3450 0.1857
10 C 0.6550 0.6550 0.8143
11 C 0.6642 0.6642 0.3549
12 C 0.9977 0.9977 0.7436